[1]
Structure and theoretical PXRD pattern of CsCd (a PBE-relaxed structure; Cu Kα (weighted mean of Kα1 and Kα2)).

Cell: 9.878 9.878 9.878 Å, 31.01 31.01 31.01°
Fractional coordinates of all 4 atoms:
Cs (0.089, 0.089, 0.089)
Cs (0.911, 0.911, 0.911)
Cd (0.333, 0.333, 0.333)
Cd (0.667, 0.667, 0.667)

Principal peaks in the range 2θ from 10° to 90°, by angle:
2theta	d [Å]	I (rel.)
23.19	3.836	71
25.07	3.552	100
28.50	3.132	18
29.56	3.022	45
33.95	2.640	83
35.31	2.542	25
38.32	2.349	18
42.67	2.119	24
44.90	2.019	31
52.12	1.755	43
55.61	1.653	21
80.23	1.197	18


[2]
Structure and theoretical PXRD pattern of SmTeAsO6 (a PBE-relaxed structure; Cu Kα (weighted mean of Kα1 and Kα2)).

Cell: 5.364 5.364 9.761 Å, 90.00 90.00 120.00°
Fractional coordinates of all 18 atoms:
Sm (0.000, 0.000, 0.000)
Sm (0.000, 0.000, 0.500)
Te (0.333, 0.667, 0.250)
Te (0.667, 0.333, 0.750)
As (0.333, 0.667, 0.750)
As (0.667, 0.333, 0.250)
O (0.028, 0.374, 0.137)
O (0.028, 0.655, 0.363)
O (0.345, 0.374, 0.363)
O (0.345, 0.972, 0.137)
O (0.374, 0.028, 0.637)
O (0.374, 0.345, 0.863)
O (0.626, 0.655, 0.137)
O (0.626, 0.972, 0.363)
O (0.655, 0.028, 0.863)
O (0.655, 0.626, 0.637)
O (0.972, 0.345, 0.637)
O (0.972, 0.626, 0.863)

Principal peaks in the range 2θ from 10° to 90°, by angle:
2theta	d [Å]	I (rel.)
26.49	3.365	100
33.41	2.682	39
36.83	2.440	7
43.13	2.097	26
50.57	1.805	41
55.63	1.652	25
59.71	1.549	14
60.28	1.535	10
72.26	1.307	8
76.46	1.246	10
80.48	1.193	9
81.98	1.175	9


[3]
Structure and theoretical PXRD pattern of RbW8 (a PBE-relaxed structure; Cu Kα (weighted mean of Kα1 and Kα2)).

Cell: 13.616 13.248 5.479 Å, 82.03 74.49 23.48°
Fractional coordinates of all 18 atoms:
Rb (0.125, 0.125, 0.125)
Rb (0.875, 0.875, 0.875)
W (0.090, 0.569, 0.403)
W (0.237, 0.266, 0.759)
W (0.238, 0.759, 0.266)
W (0.241, 0.762, 0.763)
W (0.266, 0.237, 0.238)
W (0.403, 0.438, 0.090)
W (0.431, 0.910, 0.562)
W (0.438, 0.403, 0.569)
W (0.562, 0.597, 0.431)
W (0.569, 0.090, 0.438)
W (0.597, 0.562, 0.910)
W (0.734, 0.763, 0.762)
W (0.759, 0.238, 0.237)
W (0.762, 0.241, 0.734)
W (0.763, 0.734, 0.241)
W (0.910, 0.431, 0.597)

Principal peaks in the range 2θ from 10° to 90°, by angle:
2theta	d [Å]	I (rel.)
13.77	6.431	20
17.49	5.072	25
29.82	2.996	22
33.42	2.681	11
40.38	2.233	24
40.74	2.215	100
42.15	2.144	20
59.80	1.547	19
73.18	1.293	9
73.67	1.286	18
76.09	1.251	15
88.24	1.107	9


[4]
Structure and theoretical PXRD pattern of Ag2SnHgTe2Se2 (a PBE-relaxed structure; Cu Kα (weighted mean of Kα1 and Kα2)).

Cell: 7.788 7.744 6.344 Å, 66.25 65.54 48.21°
Fractional coordinates of all 8 atoms:
Ag (0.000, 0.000, 0.500)
Ag (0.500, 0.500, 0.000)
Sn (0.231, 0.231, 0.769)
Hg (0.737, 0.737, 0.263)
Te (0.124, 0.612, 0.388)
Te (0.612, 0.124, 0.876)
Se (0.351, 0.871, 0.649)
Se (0.871, 0.351, 0.129)

Principal peaks in the range 2θ from 10° to 90°, by angle:
2theta	d [Å]	I (rel.)
24.17	3.682	99
24.45	3.641	98
39.86	2.262	26
40.22	2.242	100
40.56	2.224	25
47.32	1.921	33
47.49	1.915	16
47.64	1.909	15
47.78	1.904	31
58.19	1.585	25
72.62	1.302	17
73.57	1.287	16


[5]
Structure and theoretical PXRD pattern of K2Zn6O7 (a PBE-relaxed structure; Cu Kα (weighted mean of Kα1 and Kα2)).

Cell: 10.897 10.897 3.322 Å, 90.00 90.00 90.00°
Fractional coordinates of all 30 atoms:
K (0.142, 0.142, 0.000)
K (0.358, 0.642, 0.500)
K (0.642, 0.358, 0.500)
K (0.858, 0.858, 0.000)
Zn (0.086, 0.652, 0.987)
Zn (0.121, 0.879, 0.485)
Zn (0.152, 0.414, 0.487)
Zn (0.348, 0.914, 0.987)
Zn (0.379, 0.379, 0.985)
Zn (0.414, 0.152, 0.487)
Zn (0.586, 0.848, 0.487)
Zn (0.621, 0.621, 0.985)
Zn (0.652, 0.086, 0.987)
Zn (0.848, 0.586, 0.487)
Zn (0.879, 0.121, 0.485)
Zn (0.914, 0.348, 0.987)
O (0.000, 0.000, 0.535)
O (0.006, 0.311, 0.487)
O (0.189, 0.506, 0.987)
O (0.193, 0.807, 0.990)
O (0.307, 0.307, 0.490)
O (0.311, 0.006, 0.487)
O (0.494, 0.811, 0.987)
O (0.500, 0.500, 0.035)
O (0.506, 0.189, 0.987)
O (0.689, 0.994, 0.487)
O (0.693, 0.693, 0.490)
O (0.807, 0.193, 0.990)
O (0.811, 0.494, 0.987)
O (0.994, 0.689, 0.487)

Principal peaks in the range 2θ from 10° to 90°, by angle:
2theta	d [Å]	I (rel.)
18.20	4.873	21
32.88	2.724	39
33.92	2.643	12
34.93	2.568	12
35.69	2.516	100
44.79	2.023	10
47.18	1.926	14
55.31	1.661	12
58.54	1.577	10
60.54	1.529	17
63.78	1.459	12
65.86	1.418	10


[6]
Structure and theoretical PXRD pattern of Zr2ScHg (a PBE-relaxed structure; Cu Kα (weighted mean of Kα1 and Kα2)).

Cell: 4.988 6.209 6.209 Å, 111.96 90.00 90.00°
Fractional coordinates of all 8 atoms:
Zr (0.250, 0.103, 0.897)
Zr (0.250, 0.621, 0.852)
Zr (0.750, 0.852, 0.621)
Zr (0.750, 0.897, 0.103)
Sc (0.250, 0.165, 0.392)
Sc (0.750, 0.392, 0.165)
Hg (0.250, 0.661, 0.348)
Hg (0.750, 0.348, 0.661)

Principal peaks in the range 2θ from 10° to 90°, by angle:
2theta	d [Å]	I (rel.)
23.60	3.771	14
24.86	3.582	11
25.64	3.474	7
29.02	3.076	13
34.87	2.573	16
36.01	2.494	100
46.89	1.937	7
50.99	1.791	11
63.26	1.470	10
64.75	1.440	20
65.48	1.425	7
76.39	1.247	12